1.
Diffraction record for Mg6VCu. The PXRD pattern is simulated, not measured: it uses a GGA-PBE-relaxed structure and copper Kα.

Principal peaks in the range 10 to 80 degrees two-theta, in order of rising 2θ:
- hkl 0 1 1, 2θ 16.67, I = 319
- hkl 0 2 2, 2θ 33.71, I = 248
- hkl 2 0 0, 2θ 36.69, I = 388
- hkl 1 2 2, 2θ 38.52, I = 1000
- hkl 1 0 4, 2θ 38.88, I = 480
- hkl 0 2 6, 2θ 60.79, I = 152
- hkl 3 2 2, 2θ 67.29, I = 174
- hkl 2 2 6, 2θ 73.15, I = 167

Structure:
Cell lengths 4.8989, 6.1646, 10.5164 Å; angles 90.00, 90.00, 90.00 degrees
Space group Amm2 (No. 38)
Inequivalent atoms, fractional coordinates:
Mg (0.0000, 0.0000, 0.0000) [2 per cell]
Mg (0.0000, 0.2393, 0.7487) [4 per cell]
Mg (0.5000, 0.0000, 0.1720) [2 per cell]
Mg (0.5000, 0.2411, 0.4275) [4 per cell]
V (0.0000, 0.0000, 0.5029) [2 per cell]
Cu (0.5000, 0.0000, 0.6577) [2 per cell]

***

2.
Diffraction record for PbCl2. The PXRD pattern is simulated, not measured: it uses a GGA-PBE-relaxed structure and copper Kα.

Principal peaks in the range 10 to 80 degrees two-theta, in order of rising 2θ:
- hkl 1 1 0, 2θ 18.41, I = 1000
- hkl 1 0 1, 2θ 23.76, I = 784
- hkl 2 0 0, 2θ 26.15, I = 204
- hkl 2 1 1, 2θ 35.62, I = 880
- hkl 2 2 0, 2θ 37.32, I = 240
- hkl 1 1 2, 2θ 44.59, I = 215
- hkl 3 0 1, 2θ 44.72, I = 324
- hkl 3 3 2, 2θ 72.45, I = 208

Structure:
Cell lengths 6.8152, 6.8152, 4.4817 Å; angles 90.00, 90.00, 90.00 degrees
Space group P4_2/mnm (No. 136)
Inequivalent atoms, fractional coordinates:
Pb (0.0000, 0.0000, 0.0000) [2 per cell]
Cl (0.1968, 0.1968, 0.5000) [4 per cell]

***

3.
Diffraction record for NaAl3. The PXRD pattern is simulated, not measured: it uses a GGA-PBE-relaxed structure and copper Kα.

Principal peaks in the range 10 to 80 degrees two-theta, in order of rising 2θ:
- hkl 1 1 1, 2θ 36.90, I = 1000
- hkl 2 0 0, 2θ 42.86, I = 483
- hkl 2 2 0, 2θ 62.23, I = 307
- hkl 3 1 1, 2θ 74.59, I = 350
- hkl 2 2 2, 2θ 78.53, I = 100

Structure:
Cell lengths 4.2197, 4.2197, 4.2197 Å; angles 90.00, 90.00, 90.00 degrees
Space group Pm-3m (No. 221)
Inequivalent atoms, fractional coordinates:
Na (0.0000, 0.0000, 0.0000) [1 per cell]
Al (0.0000, 0.5000, 0.5000) [3 per cell]

***

4.
Diffraction record for WCl6. The PXRD pattern is simulated, not measured: it uses a GGA-PBE-relaxed structure and copper Kα.

Principal peaks in the range 10 to 80 degrees two-theta, in order of rising 2θ:
- hkl 0 0 3, 2θ 14.71, I = 426
- hkl 1 0 1, 2θ 16.21, I = 1000
- hkl 0 1 2, 2θ 18.32, I = 693
- hkl 1 0 4, 2θ 25.10, I = 204
- hkl 2 -1 3, 2θ 30.82, I = 497
- hkl 2 -1 6, 2θ 40.49, I = 318
- hkl 3 0 0, 2θ 47.56, I = 145
- hkl 1 1 9, 2θ 53.37, I = 131

Structure:
Cell lengths 6.6226, 6.6226, 18.0653 Å; angles 90.00, 90.00, 120.00 degrees
Space group R-3 (No. 148, hexagonal axes)
Inequivalent atoms, fractional coordinates:
W (0.0000, 0.0000, 0.0000) [3 per cell]
Cl (0.0053, 0.2873, 0.0740) [18 per cell]

***

5.
Diffraction record for MgMnFeS4. The PXRD pattern is simulated, not measured: it uses a GGA-PBE-relaxed structure and copper Kα.

Principal peaks in the range 10 to 80 degrees two-theta, in order of rising 2θ:
- hkl 1 0 1, 2θ 15.31, I = 1000
- hkl 0 1 3, 2θ 29.47, I = 282
- hkl 1 2 1, 2θ 29.60, I = 511
- hkl 0 0 4, 2θ 35.69, I = 363
- hkl 2 2 0, 2θ 35.91, I = 704
- hkl 1 0 5, 2θ 46.95, I = 190
- hkl 3 2 1, 2θ 47.21, I = 384
- hkl 2 2 4, 2θ 51.53, I = 657

Structure:
Cell lengths 7.0665, 7.0803, 10.0615 Å; angles 90.00, 90.00, 90.00 degrees
Space group Imma (No. 74)
Inequivalent atoms, fractional coordinates:
Mg (0.0000, 0.2500, 0.1230) [4 per cell]
Mn (0.2500, 0.2500, 0.7500) [4 per cell]
Fe (0.0000, 0.0000, 0.5000) [4 per cell]
S (0.0000, 0.0216, 0.7294) [8 per cell]
S (0.2089, 0.2500, 0.5073) [8 per cell]

***

6.
Diffraction record for EuAgAu2. The PXRD pattern is simulated, not measured: it uses a GGA-PBE-relaxed structure and copper Kα.

Principal peaks in the range 10 to 80 degrees two-theta, in order of rising 2θ:
- hkl 1 1 1, 2θ 21.56, I = 8
- hkl 2 0 0, 2θ 24.94, I = 46
- hkl 2 2 0, 2θ 35.56, I = 1000
- hkl 2 2 2, 2θ 43.93, I = 15
- hkl 4 0 0, 2θ 51.17, I = 177
- hkl 4 2 0, 2θ 57.74, I = 22
- hkl 4 2 2, 2θ 63.87, I = 364
- hkl 4 4 0, 2θ 75.29, I = 114

Structure:
Cell lengths 7.1401, 7.1401, 7.1401 Å; angles 90.00, 90.00, 90.00 degrees
Space group Fm-3m (No. 225)
Inequivalent atoms, fractional coordinates:
Eu (0.0000, 0.0000, 0.0000) [4 per cell]
Ag (0.0000, 0.0000, 0.5000) [4 per cell]
Au (0.2500, 0.2500, 0.2500) [8 per cell]

***

7.
Diffraction record for GaCuTe2. The PXRD pattern is simulated, not measured: it uses a GGA-PBE-relaxed structure and copper Kα.

Principal peaks in the range 10 to 80 degrees two-theta, in order of rising 2θ:
- hkl 1 0 1, 2θ 27.15, I = 207
- hkl 1 1 0, 2θ 31.30, I = 1000
- hkl 0 0 2, 2θ 31.74, I = 482
- hkl 2 0 0, 2θ 44.85, I = 365
- hkl 1 1 2, 2θ 45.18, I = 715
- hkl 2 0 2, 2θ 55.99, I = 373
- hkl 3 1 0, 2θ 74.20, I = 157
- hkl 2 2 2, 2θ 74.44, I = 156

Structure:
Cell lengths 4.0417, 4.0417, 5.6378 Å; angles 90.00, 90.00, 90.00 degrees
Space group P4/mmm (No. 123)
Inequivalent atoms, fractional coordinates:
Ga (0.0000, 0.0000, 0.0000) [1 per cell]
Cu (0.5000, 0.5000, 0.5000) [1 per cell]
Te (0.0000, 0.0000, 0.5000) [1 per cell]
Te (0.5000, 0.5000, 0.0000) [1 per cell]